Ba3As: simulated powder diffractogram (Cu Kα (weighted mean of Kα1 and Kα2)), based on a DFT-relaxed cell (GGA-PBE, Alexandria).
No peak broadening, texture or thermal motion is included.

Crystal structure
```
data_Ba3As
_chemical_formula_sum 'Ba6 As2'
_space_group_name_H-M_alt 'I m m 2'
_space_group_IT_number 44
_space_group_name_Hall 'I 2 -2'
_cell_length_a 4.3990
_cell_length_b 12.7639
_cell_length_c 7.7618
_cell_angle_alpha 90.00
_cell_angle_beta 90.00
_cell_angle_gamma 90.00
loop_
_atom_site_label
_atom_site_fract_x
_atom_site_fract_y
_atom_site_fract_z
Ba1 0.0000 0.0000 0.0000
Ba2 0.0000 0.1649 0.4632
As1 0.0000 0.5000 0.8048
```

Largest 12 diffraction maxima, in order of rising 2θ, 10° ≤ 2θ ≤ 90°:
2θ (°)	intensity	hkl
13.4	34	0 1 1
21.4	35	1 1 0
22.9	51	0 0 2
23.9	100	0 3 1
27.2	99	1 2 1
31.5	73	1 1 2
36.7	49	1 4 1
40.8	43	0 3 3
41.0	20	2 0 0
47.4	21	1 5 2
48.0	30	2 3 1
59.3	25	2 3 3

=====

Ca4Zn: simulated powder diffractogram (Cu Kα (weighted mean of Kα1 and Kα2)), based on a DFT-relaxed cell (GGA-PBE, Alexandria).
No peak broadening, texture or thermal motion is included.

Crystal structure
```
data_Ca4Zn
_chemical_formula_sum 'Ca8 Zn2'
_space_group_name_H-M_alt 'I 4/m m m'
_space_group_IT_number 139
_space_group_name_Hall '-I 4 2'
_cell_length_a 3.7777
_cell_length_b 3.7777
_cell_length_c 24.5104
_cell_angle_alpha 90.00
_cell_angle_beta 90.00
_cell_angle_gamma 90.00
loop_
_atom_site_label
_atom_site_fract_x
_atom_site_fract_y
_atom_site_fract_z
Ca1 0.0000 0.0000 0.0719
Ca2 0.0000 0.0000 0.3090
Zn1 0.0000 0.0000 0.5000
```

Largest 12 diffraction maxima, in order of rising 2θ, 10° ≤ 2θ ≤ 90°:
2θ (°)	intensity	hkl
14.5	11	0 0 4
29.9	100	1 0 5
33.5	49	1 1 0
34.9	19	1 0 7
36.7	10	0 0 10
40.8	11	1 0 9
47.4	9	1 0 11
48.2	16	2 0 0
50.5	10	1 1 10
57.7	27	2 1 5
60.9	7	2 1 7
70.9	7	1 1 16

=====

Ho3Ag4: simulated powder diffractogram (Cu Kα (weighted mean of Kα1 and Kα2)), based on a DFT-relaxed cell (GGA-PBE, Alexandria).
No peak broadening, texture or thermal motion is included.

Crystal structure
```
data_Ho3Ag4
_chemical_formula_sum 'Ho9 Ag12'
_space_group_name_H-M_alt 'R -3 m'
_space_group_IT_number 166
_space_group_name_Hall '-R 3 2"'
_cell_length_a 5.0094
_cell_length_b 5.0094
_cell_length_c 24.7666
_cell_angle_alpha 90.00
_cell_angle_beta 90.00
_cell_angle_gamma 120.00
loop_
_atom_site_label
_atom_site_fract_x
_atom_site_fract_y
_atom_site_fract_z
Ho1 0.0000 0.0000 0.0000
Ho2 0.0000 0.0000 0.2441
Ag1 0.0000 0.0000 0.1225
Ag2 0.0000 0.0000 0.3695
```

Largest 12 diffraction maxima, in order of rising 2θ, 10° ≤ 2θ ≤ 90°:
2θ (°)	intensity	hkl
10.7	15	0 0 3
20.8	15	1 0 1
21.7	12	0 1 2
35.6	97	0 1 8
35.9	100	1 1 0
49.2	11	1 1 9
51.4	33	2 0 8
63.8	14	1 0 16
64.3	33	1 2 8
64.4	17	3 0 0
86.5	13	2 1 16
86.9	15	3 1 8

=====

Cs2N2Cl5: simulated powder diffractogram (Cu Kα (weighted mean of Kα1 and Kα2)), based on a DFT-relaxed cell (GGA-PBE, Alexandria).
No peak broadening, texture or thermal motion is included.

Crystal structure
```
data_Cs2N2Cl5
_chemical_formula_sum 'Cs2 N2 Cl5'
_space_group_name_H-M_alt 'P 1 m 1'
_space_group_IT_number 6
_space_group_name_Hall 'P -2y'
_cell_length_a 5.2138
_cell_length_b 11.9552
_cell_length_c 5.8392
_cell_angle_alpha 90.00
_cell_angle_beta 113.11
_cell_angle_gamma 90.00
loop_
_atom_site_label
_atom_site_fract_x
_atom_site_fract_y
_atom_site_fract_z
Cs1 0.0000 0.0000 0.0000
Cs2 0.0354 0.5000 0.9325
N1 0.4446 0.1457 0.8540
Cl1 0.1666 0.1810 0.5762
Cl2 0.5551 0.2661 0.0356
Cl3 0.7081 0.5000 0.3170
```

Largest 12 diffraction maxima, in order of rising 2θ, 10° ≤ 2θ ≤ 90°:
2θ (°)	intensity	hkl
14.8	34	0 2 0
16.5	71	0 0 1
18.5	27	1 0 0
20.8	20	1 1 -1
22.3	47	0 2 1
23.8	77	1 2 0
24.5	100	1 2 -1
29.9	25	0 4 0
33.1	47	1 2 1
34.3	28	0 4 1
34.6	25	1 2 -2
35.4	20	1 4 0

=====

Ba3SmAl8: simulated powder diffractogram (Cu Kα (weighted mean of Kα1 and Kα2)), based on a DFT-relaxed cell (GGA-PBE, Alexandria).
No peak broadening, texture or thermal motion is included.

Crystal structure
```
data_Ba3SmAl8
_chemical_formula_sum 'Ba9 Sm3 Al24'
_space_group_name_H-M_alt 'R 3 m'
_space_group_IT_number 160
_space_group_name_Hall 'R 3 -2"'
_cell_length_a 5.9339
_cell_length_b 5.9339
_cell_length_c 29.0110
_cell_angle_alpha 90.00
_cell_angle_beta 90.00
_cell_angle_gamma 120.00
loop_
_atom_site_label
_atom_site_fract_x
_atom_site_fract_y
_atom_site_fract_z
Ba1 0.0000 0.0000 0.0000
Ba2 0.0000 0.0000 0.1231
Ba3 0.0000 0.0000 0.6250
Sm1 0.0000 0.0000 0.5001
Al1 0.0000 0.0000 0.3128
Al2 0.0000 0.0000 0.8118
Al3 0.0047 0.5024 0.0651
Al4 0.1671 0.3343 0.8924
```

Largest 12 diffraction maxima, in order of rising 2θ, 10° ≤ 2θ ≤ 90°:
2θ (°)	intensity	hkl
18.3	53	0 1 2
30.1	94	1 1 0
35.5	100	1 0 10
47.2	14	0 2 10
53.5	28	3 0 0
53.6	9	1 0 16
57.1	31	2 1 10
62.7	22	2 2 0
71.1	16	2 1 16
74.1	9	1 3 10
86.9	15	4 1 0
89.8	17	3 2 10

=====

Er2PdAu2: simulated powder diffractogram (Cu Kα (weighted mean of Kα1 and Kα2)), based on a DFT-relaxed cell (GGA-PBE, Alexandria).
No peak broadening, texture or thermal motion is included.

Crystal structure
```
data_Er2PdAu2
_chemical_formula_sum 'Er4 Pd2 Au4'
_space_group_name_H-M_alt 'P b a m'
_space_group_IT_number 55
_space_group_name_Hall '-P 2 2ab'
_cell_length_a 3.9337
_cell_length_b 15.4518
_cell_length_c 3.5859
_cell_angle_alpha 90.00
_cell_angle_beta 90.00
_cell_angle_gamma 90.00
loop_
_atom_site_label
_atom_site_fract_x
_atom_site_fract_y
_atom_site_fract_z
Er1 0.0025 0.1093 0.0000
Pd1 0.0000 0.5000 0.5000
Au1 0.0025 0.3134 0.5000
```

Largest 12 diffraction maxima, in order of rising 2θ, 10° ≤ 2θ ≤ 90°:
2θ (°)	intensity	hkl
27.4	18	0 2 1
34.1	31	0 4 1
34.3	100	1 1 1
37.0	95	1 5 0
38.2	49	1 3 1
43.3	33	0 6 1
46.2	29	2 0 0
50.9	22	0 0 2
58.6	19	2 4 1
64.6	42	1 5 2
65.1	20	2 6 1
71.2	16	2 0 2

=====

LiPuCd2O6: simulated powder diffractogram (Cu Kα (weighted mean of Kα1 and Kα2)), based on a DFT-relaxed cell (GGA-PBE, Alexandria).
No peak broadening, texture or thermal motion is included.

Crystal structure
```
data_LiPuCd2O6
_chemical_formula_sum 'Li2 Pu2 Cd4 O12'
_space_group_name_H-M_alt 'P 1 21/c 1'
_space_group_IT_number 14
_space_group_name_Hall '-P 2ybc'
_cell_length_a 5.4808
_cell_length_b 5.6929
_cell_length_c 9.8044
_cell_angle_alpha 90.00
_cell_angle_beta 123.83
_cell_angle_gamma 90.00
loop_
_atom_site_label
_atom_site_fract_x
_atom_site_fract_y
_atom_site_fract_z
Li1 0.0000 0.0000 0.0000
Pu1 0.5000 0.0000 0.5000
Cd1 0.2614 0.0535 0.7480
O1 0.1479 0.0581 0.2625
O2 0.2551 0.6871 0.0542
O3 0.3938 0.2060 0.0695
```

Largest 12 diffraction maxima, in order of rising 2θ, 10° ≤ 2θ ≤ 90°:
2θ (°)	intensity	hkl
19.0	53	0 1 1
19.5	48	1 0 0
31.4	21	0 2 0
31.6	100	1 1 -3
32.7	22	2 0 -2
37.3	18	1 2 -2
38.1	19	2 1 -3
44.5	13	0 0 4
46.0	20	2 2 -2
49.3	13	1 2 -4
56.0	14	1 3 -3
57.7	12	3 1 -5

=====

Na5Sr3: simulated powder diffractogram (Cu Kα (weighted mean of Kα1 and Kα2)), based on a DFT-relaxed cell (GGA-PBE, Alexandria).
No peak broadening, texture or thermal motion is included.

Crystal structure
```
data_Na5Sr3
_chemical_formula_sum 'Na5 Sr3'
_space_group_name_H-M_alt 'P 4/m m m'
_space_group_IT_number 123
_space_group_name_Hall '-P 4 2'
_cell_length_a 4.3339
_cell_length_b 4.3339
_cell_length_c 18.5500
_cell_angle_alpha 90.00
_cell_angle_beta 90.00
_cell_angle_gamma 90.00
loop_
_atom_site_label
_atom_site_fract_x
_atom_site_fract_y
_atom_site_fract_z
Na1 0.0000 0.0000 0.0000
Na2 0.0000 0.0000 0.2649
Na3 0.5000 0.5000 0.3635
Sr1 0.0000 0.0000 0.5000
Sr2 0.5000 0.5000 0.1286
```

Largest 12 diffraction maxima, in order of rising 2θ, 10° ≤ 2θ ≤ 90°:
2θ (°)	intensity	hkl
14.3	17	0 0 3
21.1	35	1 0 1
28.2	100	1 0 4
29.1	47	1 1 0
32.6	9	1 1 3
38.1	9	1 1 5
38.8	9	0 0 8
41.7	18	2 0 0
49.3	19	1 1 8
51.1	37	2 1 4
58.3	11	2 0 8
83.0	8	3 2 4